Theoretical XRD peak list of LiFePO4 for Cu Kα, 1.54184 Å, from a PBE+U-relaxed structure.
No peak broadening, texture or thermal motion is included.

Main lines, in order of rising 2θ (2θ from 10° to 90°):
- 2θ = 21.7°, I = 100
- 2θ = 35.5°, I = 29
- 2θ = 35.6°, I = 29
- 2θ = 41.4°, I = 9
- 2θ = 42.5°, I = 10
- 2θ = 42.7°, I = 10
- 2θ = 56.0°, I = 6
- 2θ = 56.3°, I = 6
- 2θ = 63.3°, I = 7
- 2θ = 63.4°, I = 7

```
LiFePO4
1.0
3.488 -3.644 0.000
3.488 3.644 0.000
-3.472 0.000 3.520
Li Fe P O
1 1 1 4
Direct
0.000 0.000 0.000
0.500 0.500 0.000
0.749 0.251 0.500
0.051 0.309 0.863
0.443 0.188 0.498
0.691 0.949 0.137
0.812 0.557 0.502
```